Structure and calculated X-ray diffraction stick pattern of Na10CaSn12 (the GGA-PBE geometry in the Materials Project; λ = 1.5418 Å (Cu Kα)).

Crystal structure
Unit cell a=11.306 b=11.306 c=11.306 alpha=90.00 beta=90.00 gamma=90.00
Space group I-43m (No. 217)
Asymmetric unit:
Na 0.000 0.250 0.500 (multiplicity 12)
Na 0.193 0.193 0.193 (multiplicity 8)
Ca 0.000 0.000 0.000 (multiplicity 2)
Sn 0.091 0.091 0.721 (multiplicity 24)

Peak list (12 most intense, 2θ = 15–90°, in order of falling intensity)
- 4.616 Å, 19.23°, intensity 100
- 2.410 Å, 37.30°, intensity 76
- 2.665 Å, 33.63°, intensity 52
- 2.217 Å, 40.69°, intensity 46
- 3.022 Å, 29.56°, intensity 31
- 1.599 Å, 57.65°, intensity 26
- 3.264 Å, 27.33°, intensity 24
- 1.539 Å, 60.14°, intensity 21
- 1.249 Å, 76.26°, intensity 21
- 2.064 Å, 43.86°, intensity 19
- 1.884 Å, 48.30°, intensity 19
- 1.392 Å, 67.28°, intensity 16